Record 1
The following is a computed powder XRD pattern of RbMg4Tl2. It was derived from a PBE-relaxed structure, using λ = 1.5418 Å (Cu Kα).
Peak positions follow from Bragg's law for the DFT cell and can differ from measured ones.

Cell and atoms:
Cell lengths 4.757, 18.192, 4.879 Å; angles 90.00, 90.00, 90.00 degrees
Space group Cmmm (No. 65)
Symmetry-distinct sites (fractional):
Rb  0.000  0.000  0.000 [2 per cell]
Mg  0.000  0.195  0.500 [4 per cell]
Mg  0.000  0.310  0.000 [4 per cell]
Tl  0.000  0.408  0.500 [4 per cell]

Peak list (10 most intense, 2θ from 5° to 70°, in order of rising 2θ)
2θ = 9.72°, I = 45, hkl 0 2 0; 2θ = 18.18°, I = 40, hkl 0 0 1; 2θ = 19.28°, I = 45, hkl 1 1 0; 2θ = 26.63°, I = 100, hkl 1 1 1; 2θ = 26.80°, I = 40, hkl 0 4 1; 2θ = 30.94°, I = 52, hkl 1 5 0; 2θ = 34.84°, I = 38, hkl 0 6 1; 2θ = 36.12°, I = 49, hkl 1 5 1; 2θ = 36.85°, I = 25, hkl 0 0 2; 2θ = 48.86°, I = 30, hkl 1 5 2

Record 2
The following is a computed powder XRD pattern of RbMg3Tl9. It was derived from a PBE-relaxed structure, using λ = 1.5418 Å (Cu Kα).
Peak positions follow from Bragg's law for the DFT cell and can differ from measured ones.

Cell and atoms:
Cell lengths 6.258, 15.990, 8.375 Å; angles 90.00, 111.67, 90.00 degrees
Space group C2/m (No. 12)
Symmetry-distinct sites (fractional):
Rb  0.000  0.000  0.000 [2 per cell]
Mg  0.000  0.500  0.500 [2 per cell]
Mg  0.250  0.250  0.000 [4 per cell]
Tl  0.000  0.000  0.500 [2 per cell]
Tl  0.095  0.390  0.213 [8 per cell]
Tl  0.177  0.179  0.350 [8 per cell]

Peak list (10 most intense, 2θ from 5° to 70°, in order of rising 2θ)
2θ = 16.26°, I = 39, hkl 1 1 -1; 2θ = 27.93°, I = 73, hkl 1 3 -2; 2θ = 28.53°, I = 67, hkl 2 0 -1; 2θ = 31.94°, I = 100, hkl 1 5 0; 2θ = 32.10°, I = 60, hkl 0 4 2; 2θ = 32.55°, I = 61, hkl 1 1 2; 2θ = 32.81°, I = 46, hkl 2 2 0; 2θ = 35.97°, I = 56, hkl 1 5 1; 2θ = 36.37°, I = 38, hkl 0 2 3; 2θ = 36.45°, I = 80, hkl 2 4 -1